The following is a simulated powder diffraction line list of DyGaSnRu. It was derived from DFT lattice parameters and positions (GGA-PBE), using Cu Kα.
Lines closer than 0.1° are merged.

Cell and atoms:
Lattice parameters (Å, degrees): 4.407 4.407 14.635 90.00 90.00 120.00
Atoms (fractional coordinates):
Dy (0.000, 0.000, 0.000)
Dy (0.333, 0.667, 0.667)
Dy (0.667, 0.333, 0.333)
Ga (0.000, 0.000, 0.775)
Ga (0.333, 0.667, 0.441)
Ga (0.667, 0.333, 0.108)
Sn (0.000, 0.000, 0.218)
Sn (0.333, 0.667, 0.884)
Sn (0.667, 0.333, 0.551)
Ru (0.000, 0.000, 0.477)
Ru (0.333, 0.667, 0.144)
Ru (0.667, 0.333, 0.810)

Peak list (10 most intense, 2θ from 10° to 80°, sorted by position)
- 2θ = 24.10°, 3.693 Å, I 18
- 2θ = 33.94°, 2.641 Å, I 100
- 2θ = 38.77°, 2.323 Å, I 27
- 2θ = 40.96°, 2.204 Å, I 77
- 2θ = 54.21°, 1.692 Å, I 26
- 2θ = 55.72°, 1.650 Å, I 10
- 2θ = 70.12°, 1.342 Å, I 24
- 2θ = 72.20°, 1.308 Å, I 15
- 2θ = 73.14°, 1.294 Å, I 9
- 2θ = 74.60°, 1.272 Å, I 13


The following is a simulated powder diffraction line list of Tm11Co4Pb9. It was derived from DFT lattice parameters and positions (GGA-PBE), using Cu Kα.
Lines closer than 0.1° are merged.

Cell and atoms:
Lattice parameters (Å, degrees): 12.802 12.802 3.812 90.00 90.00 112.47
Atoms (fractional coordinates):
Tm (0.000, 0.000, 0.000)
Tm (0.090, 0.419, 0.000)
Tm (0.163, 0.837, 0.000)
Tm (0.313, 0.313, 0.000)
Tm (0.375, 0.625, 0.000)
Tm (0.419, 0.090, 0.000)
Tm (0.581, 0.910, 0.000)
Tm (0.625, 0.375, 0.000)
Tm (0.687, 0.687, 0.000)
Tm (0.837, 0.163, 0.000)
Tm (0.910, 0.581, 0.000)
Co (0.247, 0.449, 0.500)
Co (0.449, 0.247, 0.500)
Co (0.551, 0.753, 0.500)
Co (0.753, 0.551, 0.500)
Pb (0.070, 0.221, 0.500)
Pb (0.149, 0.626, 0.500)
Pb (0.221, 0.070, 0.500)
Pb (0.374, 0.851, 0.500)
Pb (0.500, 0.500, 0.500)
Pb (0.626, 0.149, 0.500)
Pb (0.779, 0.930, 0.500)
Pb (0.851, 0.374, 0.500)
Pb (0.930, 0.779, 0.500)

Peak list (10 most intense, 2θ from 10° to 80°, sorted by position)
- 2θ = 28.17°, 3.168 Å, I 12
- 2θ = 30.37°, 2.943 Å, I 18
- 2θ = 32.14°, 2.785 Å, I 14
- 2θ = 34.51°, 2.599 Å, I 100
- 2θ = 35.74°, 2.512 Å, I 43
- 2θ = 36.86°, 2.438 Å, I 9
- 2θ = 38.58°, 2.334 Å, I 11
- 2θ = 38.90°, 2.315 Å, I 9
- 2θ = 47.72°, 1.906 Å, I 17
- 2θ = 61.03°, 1.518 Å, I 19


The following is a simulated powder diffraction line list of Pa2Al4GaPt3. It was derived from DFT lattice parameters and positions (GGA-PBE), using Cu Kα.
Lines closer than 0.1° are merged.

Cell and atoms:
Lattice parameters (Å, degrees): 4.189 4.189 10.552 90.00 90.00 90.00
Atoms (fractional coordinates):
Pa (0.000, 0.500, 0.248)
Pa (0.500, 0.000, 0.752)
Al (0.000, 0.000, 0.000)
Al (0.000, 0.500, 0.635)
Al (0.500, 0.000, 0.365)
Al (0.500, 0.500, 0.000)
Ga (0.000, 0.000, 0.500)
Pt (0.000, 0.500, 0.863)
Pt (0.500, 0.000, 0.137)
Pt (0.500, 0.500, 0.500)

Peak list (10 most intense, 2θ from 10° to 80°, sorted by position)
- 2θ = 27.18°, 3.281 Å, I 30
- 2θ = 30.17°, 2.962 Å, I 33
- 2θ = 31.36°, 2.852 Å, I 35
- 2θ = 33.26°, 2.694 Å, I 78
- 2θ = 34.73°, 2.583 Å, I 100
- 2θ = 43.19°, 2.095 Å, I 58
- 2θ = 48.29°, 1.885 Å, I 42
- 2θ = 55.58°, 1.654 Å, I 37
- 2θ = 66.77°, 1.401 Å, I 33
- 2θ = 73.74°, 1.285 Å, I 23


The following is a simulated powder diffraction line list of CePm2Pt9. It was derived from DFT lattice parameters and positions (GGA-PBE), using Cu Kα.
Lines closer than 0.1° are merged.

Cell and atoms:
Lattice parameters (Å, degrees): 9.480 9.480 9.480 33.41 33.41 33.41
Atoms (fractional coordinates):
Ce (0.000, 0.000, 0.000)
Pm (0.140, 0.140, 0.140)
Pm (0.860, 0.860, 0.860)
Pt (0.081, 0.586, 0.586)
Pt (0.333, 0.333, 0.333)
Pt (0.414, 0.414, 0.919)
Pt (0.414, 0.919, 0.414)
Pt (0.500, 0.500, 0.500)
Pt (0.586, 0.081, 0.586)
Pt (0.586, 0.586, 0.081)
Pt (0.667, 0.667, 0.667)
Pt (0.919, 0.414, 0.414)

Peak list (10 most intense, 2θ from 10° to 80°, sorted by position)
- 2θ = 19.10°, 4.648 Å, I 25
- 2θ = 32.87°, 2.724 Å, I 19
- 2θ = 38.29°, 2.350 Å, I 28
- 2θ = 38.70°, 2.327 Å, I 100
- 2θ = 40.34°, 2.236 Å, I 27
- 2θ = 41.69°, 2.167 Å, I 20
- 2θ = 41.82°, 2.160 Å, I 47
- 2θ = 45.12°, 2.010 Å, I 20
- 2θ = 62.60°, 1.484 Å, I 25
- 2θ = 68.93°, 1.362 Å, I 27


The following is a simulated powder diffraction line list of Mg2SnPd6. It was derived from DFT lattice parameters and positions (GGA-PBE), using Cu Kα.
Lines closer than 0.1° are merged.

Cell and atoms:
Lattice parameters (Å, degrees): 7.419 7.419 4.278 106.55 106.55 48.23
Atoms (fractional coordinates):
Mg (0.169, 0.169, 0.167)
Mg (0.831, 0.831, 0.833)
Sn (0.500, 0.500, 0.500)
Pd (0.079, 0.586, 0.334)
Pd (0.242, 0.758, 0.000)
Pd (0.414, 0.921, 0.666)
Pd (0.586, 0.079, 0.334)
Pd (0.758, 0.242, 0.000)
Pd (0.921, 0.414, 0.666)

Peak list (10 most intense, 2θ from 10° to 80°, sorted by position)
- 2θ = 25.46°, 3.498 Å, I 14
- 2θ = 29.45°, 3.033 Å, I 36
- 2θ = 29.55°, 3.023 Å, I 18
- 2θ = 42.17°, 2.143 Å, I 100
- 2θ = 42.25°, 2.139 Å, I 20
- 2θ = 52.30°, 1.749 Å, I 14
- 2θ = 61.11°, 1.516 Å, I 13
- 2θ = 69.34°, 1.355 Å, I 7
- 2θ = 77.01°, 1.238 Å, I 13
- 2θ = 77.13°, 1.237 Å, I 20


The following is a simulated powder diffraction line list of Na2LiIrCl6. It was derived from DFT lattice parameters and positions (GGA-PBE), using Cu Kα.
Lines closer than 0.1° are merged.

Cell and atoms:
Lattice parameters (Å, degrees): 7.686 7.686 7.686 50.28 50.28 50.28
Atoms (fractional coordinates):
Na (0.000, 0.000, 0.000)
Na (0.494, 0.494, 0.494)
Li (0.323, 0.323, 0.323)
Ir (0.667, 0.667, 0.667)
Cl (0.043, 0.443, 0.717)
Cl (0.309, 0.897, 0.586)
Cl (0.443, 0.717, 0.043)
Cl (0.586, 0.309, 0.897)
Cl (0.717, 0.043, 0.443)
Cl (0.897, 0.586, 0.309)

Peak list (10 most intense, 2θ from 10° to 80°, sorted by position)
- 2θ = 13.22°, 6.698 Å, I 77
- 2θ = 16.28°, 5.444 Å, I 100
- 2θ = 18.00°, 4.928 Å, I 57
- 2θ = 23.69°, 3.756 Å, I 25
- 2θ = 27.26°, 3.272 Å, I 31
- 2θ = 30.46°, 2.935 Å, I 55
- 2θ = 38.51°, 2.338 Å, I 58
- 2θ = 48.26°, 1.886 Å, I 35
- 2θ = 49.45°, 1.843 Å, I 21
- 2θ = 50.28°, 1.815 Å, I 14


The following is a simulated powder diffraction line list of Li4PrCd2. It was derived from DFT lattice parameters and positions (GGA-PBE), using Cu Kα.
Lines closer than 0.1° are merged.

Cell and atoms:
Lattice parameters (Å, degrees): 3.998 3.998 9.775 90.00 90.00 90.00
Atoms (fractional coordinates):
Li (0.000, 0.000, 0.000)
Li (0.000, 0.500, 0.221)
Li (0.500, 0.000, 0.779)
Li (0.500, 0.500, 0.000)
Pr (0.500, 0.500, 0.500)
Cd (0.000, 0.500, 0.776)
Cd (0.500, 0.000, 0.224)

Peak list (10 most intense, 2θ from 10° to 80°, sorted by position)
- 2θ = 22.24°, 3.998 Å, I 18
- 2θ = 24.05°, 3.700 Å, I 100
- 2θ = 27.37°, 3.258 Å, I 16
- 2θ = 28.85°, 3.095 Å, I 24
- 2θ = 32.98°, 2.716 Å, I 19
- 2θ = 35.54°, 2.526 Å, I 31
- 2θ = 36.73°, 2.447 Å, I 85
- 2θ = 45.37°, 1.999 Å, I 21
- 2θ = 52.01°, 1.758 Å, I 31
- 2θ = 78.09°, 1.224 Å, I 21


Question: What is the formula in the third record?
Answer: Pa2Al4GaPt3


Question: Number 6 is which compound?
Answer: Na2LiIrCl6